Entry 1:
This entry pairs a crystal structure of Ca2LaNdMn4O12 with its calculated powder XRD pattern. Radiation: Cu Kα (λ = 1.5418 Å). Structure: a DFT-relaxed cell (PBE+U, Alexandria).
No peak broadening, texture or thermal motion is included.

Most intense lines, 10° ≤ 2θ ≤ 90°, low angle first:
| 2θ/deg | I_rel |
| --- | --- |
| 19.8 | 19 |
| 19.9 | 20 |
| 32.4 | 19 |
| 32.8 | 100 |
| 38.6 | 9 |
| 38.7 | 8 |
| 46.7 | 25 |
| 47.3 | 13 |
| 58.0 | 12 |
| 58.5 | 26 |
| 58.7 | 9 |
| 68.7 | 15 |

Crystal structure
a = 5.465 Å, b = 7.694 Å, c = 5.533 Å
α = 90.00°, β = 90.07°, γ = 90.00°
Fractional positions:
Ca 0.000 0.000 0.000
Ca 0.499 0.500 0.412
La 0.983 0.500 0.920
Nd 0.481 0.000 0.497
Mn 0.491 0.248 0.956
Mn 0.491 0.752 0.956
Mn 0.990 0.249 0.454
Mn 0.990 0.751 0.454
O 0.069 0.500 0.469
O 0.204 0.206 0.741
O 0.204 0.794 0.741
O 0.277 0.209 0.242
O 0.277 0.791 0.242
O 0.421 0.500 0.975
O 0.571 0.000 0.934
O 0.701 0.290 0.665
O 0.701 0.710 0.665
O 0.777 0.287 0.168
O 0.777 0.713 0.168
O 0.913 0.000 0.435

***

Entry 2:
This entry pairs a crystal structure of CaLa3Mn4O10 with its calculated powder XRD pattern. Radiation: Cu Kα (λ = 1.5418 Å). Structure: a DFT-relaxed cell (PBE+U, Alexandria).
No peak broadening, texture or thermal motion is included.

Most intense lines, 10° ≤ 2θ ≤ 90°, low angle first:
| 2θ/deg | I_rel |
| --- | --- |
| 11.2 | 36 |
| 22.6 | 29 |
| 31.4 | 70 |
| 32.0 | 100 |
| 32.1 | 97 |
| 32.8 | 67 |
| 45.8 | 30 |
| 46.1 | 58 |
| 56.2 | 21 |
| 56.4 | 20 |
| 57.5 | 19 |
| 58.1 | 30 |

Crystal structure
a = 5.698 Å, b = 5.456 Å, c = 16.802 Å
α = 90.00°, β = 109.55°, γ = 90.00°
Fractional positions:
Ca 0.000 0.216 0.000
Ca 0.000 0.784 0.500
La 0.191 0.273 0.219
La 0.191 0.727 0.719
La 0.462 0.272 0.500
La 0.462 0.728 0.000
La 0.728 0.224 0.725
La 0.728 0.776 0.225
Mn 0.094 0.248 0.609
Mn 0.094 0.752 0.109
Mn 0.405 0.206 0.865
Mn 0.405 0.794 0.365
Mn 0.594 0.252 0.109
Mn 0.594 0.748 0.609
Mn 0.794 0.304 0.364
Mn 0.794 0.696 0.864
O 0.031 0.217 0.476
O 0.031 0.783 0.976
O 0.165 0.266 0.747
O 0.165 0.734 0.247
O 0.345 0.032 0.128
O 0.345 0.968 0.628
O 0.392 0.267 0.981
O 0.392 0.733 0.481
O 0.401 0.473 0.631
O 0.401 0.527 0.131
O 0.445 0.175 0.359
O 0.445 0.825 0.859
O 0.745 0.325 0.865
O 0.745 0.675 0.365
O 0.794 0.024 0.595
O 0.794 0.238 0.244
O 0.794 0.762 0.744
O 0.794 0.976 0.095
O 0.852 0.467 0.093
O 0.852 0.533 0.593

***

Entry 3:
This entry pairs a crystal structure of CaLa2Mn3O9 with its calculated powder XRD pattern. Radiation: Cu Kα (λ = 1.5418 Å). Structure: a DFT-relaxed cell (PBE+U, Alexandria).
No peak broadening, texture or thermal motion is included.

Most intense lines, 10° ≤ 2θ ≤ 90°, low angle first:
| 2θ/deg | I_rel |
| --- | --- |
| 18.4 | 18 |
| 22.8 | 25 |
| 32.2 | 93 |
| 32.6 | 100 |
| 39.8 | 23 |
| 46.5 | 64 |
| 57.4 | 23 |
| 57.7 | 40 |
| 58.5 | 19 |
| 67.4 | 16 |
| 68.3 | 18 |
| 77.6 | 17 |

Crystal structure
a = 5.560 Å, b = 5.560 Å, c = 13.369 Å
α = 90.00°, β = 90.00°, γ = 120.00°
Fractional positions:
Ca 0.000 0.000 0.250
Ca 0.000 0.000 0.750
La 0.333 0.667 0.086
La 0.333 0.667 0.586
La 0.667 0.333 0.414
La 0.667 0.333 0.914
Mn 0.000 0.000 0.000
Mn 0.000 0.000 0.500
Mn 0.333 0.667 0.332
Mn 0.333 0.667 0.832
Mn 0.667 0.333 0.168
Mn 0.667 0.333 0.668
O 0.000 0.428 0.250
O 0.000 0.572 0.750
O 0.106 0.338 0.918
O 0.106 0.767 0.418
O 0.233 0.338 0.418
O 0.233 0.894 0.918
O 0.338 0.106 0.582
O 0.338 0.233 0.082
O 0.428 0.000 0.250
O 0.428 0.428 0.750
O 0.572 0.000 0.750
O 0.572 0.572 0.250
O 0.662 0.767 0.918
O 0.662 0.894 0.418
O 0.767 0.106 0.082
O 0.767 0.662 0.582
O 0.894 0.233 0.582
O 0.894 0.662 0.082

***

Entry 4:
This entry pairs a crystal structure of CaLaPrMnO6 with its calculated powder XRD pattern. Radiation: Cu Kα (λ = 1.5418 Å). Structure: a DFT-relaxed cell (PBE+U, Alexandria).
No peak broadening, texture or thermal motion is included.

Most intense lines, 10° ≤ 2θ ≤ 90°, low angle first:
| 2θ/deg | I_rel |
| --- | --- |
| 22.1 | 20 |
| 31.4 | 100 |
| 38.7 | 24 |
| 45.0 | 33 |
| 50.6 | 11 |
| 55.9 | 38 |
| 65.5 | 20 |
| 70.0 | 6 |
| 74.4 | 17 |
| 78.7 | 8 |
| 83.0 | 6 |
| 87.2 | 3 |

Crystal structure
a = 5.700 Å, b = 5.700 Å, c = 5.700 Å
α = 60.00°, β = 60.00°, γ = 60.00°
Fractional positions:
Ca 0.000 0.000 0.000
La 0.750 0.750 0.750
Pr 0.250 0.250 0.250
Mn 0.500 0.500 0.500
O 0.267 0.267 0.733
O 0.267 0.733 0.267
O 0.267 0.733 0.733
O 0.733 0.267 0.267
O 0.733 0.267 0.733
O 0.733 0.733 0.267